Entry 1:
Simulated powder XRD pattern
Compound: Pu2Ni5P2H2
Radiation: Cu Ka
Structure: a cell relaxed with GGA-PBE
Neutral-atom scattering factors, no anomalous dispersion.

Atomic structure:
```
Pu2Ni5P2H2
1.0
-1.872 1.872 10.055
1.872 -1.872 10.055
1.872 1.872 -10.055
Pu Ni P H
2 5 2 2
Direct
0.203 0.203 0.000
0.797 0.797 0.000
0.000 0.000 0.000
0.081 0.581 0.500
0.419 0.919 0.500
0.581 0.081 0.500
0.919 0.419 0.500
0.353 0.353 0.000
0.647 0.647 0.000
0.080 0.080 0.000
0.920 0.920 0.000
```

Largest 10 diffraction maxima, low angle first, 2θ = 15–90°:
- d 3.680, 2θ = 24.19°, I = 20
- d 3.268, 2θ = 27.29°, I = 30
- d 2.740, 2θ = 32.68°, I = 100
- d 2.647, 2θ = 33.87°, I = 18
- d 2.560, 2θ = 35.06°, I = 66
- d 2.342, 2θ = 38.44°, I = 22
- d 2.279, 2θ = 39.54°, I = 35
- d 2.077, 2θ = 43.57°, I = 33
- d 1.872, 2θ = 48.65°, I = 42
- d 1.545, 2θ = 59.84°, I = 37

---

Entry 2:
Simulated powder XRD pattern
Compound: TbNiPH
Radiation: Cu Ka
Structure: a cell relaxed with GGA-PBE
Neutral-atom scattering factors, no anomalous dispersion.

Atomic structure:
```
TbNiPH
1.0
3.830 0.000 0.000
0.000 3.830 0.000
0.000 0.000 7.264
Tb Ni P H
2 2 2 2
Direct
0.250 0.250 0.172
0.750 0.750 0.828
0.250 0.750 0.500
0.750 0.250 0.500
0.250 0.250 0.670
0.750 0.750 0.330
0.250 0.750 0.000
0.750 0.250 0.000
```

Largest 10 diffraction maxima, low angle first, 2θ = 15–90°:
- d 3.388, 2θ = 26.31°, I = 97
- d 2.708, 2θ = 33.08°, I = 32
- d 2.635, 2θ = 34.02°, I = 100
- d 2.538, 2θ = 35.37°, I = 56
- d 2.421, 2θ = 37.13°, I = 29
- d 2.171, 2θ = 41.60°, I = 67
- d 1.915, 2θ = 47.48°, I = 51
- d 1.667, 2θ = 55.09°, I = 27
- d 1.641, 2θ = 56.05°, I = 29
- d 1.549, 2θ = 59.69°, I = 39

---

Entry 3:
Simulated powder XRD pattern
Compound: PaNiH6
Radiation: Cu Ka
Structure: a cell relaxed with GGA-PBE
Neutral-atom scattering factors, no anomalous dispersion.

Atomic structure:
```
PaNiH6
1.0
-2.171 2.175 3.080
2.171 -2.175 3.080
2.171 2.175 -3.080
Pa Ni H
1 1 6
Direct
0.000 0.000 0.000
0.500 0.500 0.000
0.050 0.329 0.722
0.393 0.671 0.722
0.500 0.141 0.641
0.500 0.859 0.359
0.607 0.329 0.278
0.950 0.671 0.278
```

Largest 10 diffraction maxima, low angle first, 2θ = 15–90°:
- d 3.551, 2θ = 25.08°, I = 56
- d 3.075, 2θ = 29.04°, I = 100
- d 2.174, 2θ = 41.53°, I = 78
- d 1.855, 2θ = 49.10°, I = 21
- d 1.852, 2θ = 49.19°, I = 10
- d 1.775, 2θ = 51.47°, I = 28
- d 1.411, 2θ = 66.22°, I = 11
- d 1.376, 2θ = 68.14°, I = 18
- d 1.374, 2θ = 68.24°, I = 18
- d 1.256, 2θ = 75.73°, I = 18

---

Entry 4:
Simulated powder XRD pattern
Compound: PaNi2H3
Radiation: Cu Ka
Structure: a cell relaxed with GGA-PBE
Neutral-atom scattering factors, no anomalous dispersion.

Atomic structure:
```
PaNi2H3
1.0
3.374 -3.762 0.000
3.374 3.762 0.000
0.000 0.000 4.790
Pa Ni H
2 4 6
Direct
0.210 0.790 0.750
0.790 0.210 0.250
0.300 0.300 0.000
0.300 0.300 0.500
0.700 0.700 0.000
0.700 0.700 0.500
0.055 0.274 0.750
0.274 0.055 0.250
0.447 0.553 0.250
0.553 0.447 0.750
0.726 0.945 0.750
0.945 0.726 0.250
```

Largest 10 diffraction maxima, low angle first, 2θ = 15–90°:
- d 3.466, 2θ = 25.70°, I = 100
- d 2.512, 2θ = 35.75°, I = 42
- d 2.351, 2θ = 38.29°, I = 15
- d 2.110, 2θ = 42.85°, I = 15
- d 2.020, 2θ = 44.87°, I = 26
- d 1.965, 2θ = 46.19°, I = 22
- d 1.953, 2θ = 46.50°, I = 24
- d 1.522, 2θ = 60.89°, I = 10
- d 1.372, 2θ = 68.36°, I = 9
- d 1.251, 2θ = 76.06°, I = 12

---

Entry 5:
Simulated powder XRD pattern
Compound: PaNi3H3
Radiation: Cu Ka
Structure: a cell relaxed with GGA-PBE
Neutral-atom scattering factors, no anomalous dispersion.

Atomic structure:
```
PaNi3H3
1.0
0.000 4.225 4.225
4.225 0.000 4.225
4.225 4.225 0.000
Pa Ni H
2 6 6
Direct
0.250 0.250 0.250
0.750 0.750 0.750
0.197 0.197 0.803
0.197 0.803 0.197
0.197 0.803 0.803
0.803 0.197 0.197
0.803 0.197 0.803
0.803 0.803 0.197
0.369 0.369 0.631
0.369 0.631 0.369
0.369 0.631 0.631
0.631 0.369 0.369
0.631 0.369 0.631
0.631 0.631 0.369
```

Largest 10 diffraction maxima, low angle first, 2θ = 15–90°:
- d 4.225, 2θ = 21.03°, I = 41
- d 2.987, 2θ = 29.91°, I = 64
- d 2.439, 2θ = 36.85°, I = 100
- d 2.112, 2θ = 42.81°, I = 47
- d 1.889, 2θ = 48.17°, I = 38
- d 1.494, 2θ = 62.15°, I = 23
- d 1.408, 2θ = 66.39°, I = 24
- d 1.336, 2θ = 70.49°, I = 23
- d 1.274, 2θ = 74.49°, I = 24
- d 1.129, 2θ = 86.13°, I = 19

---

Entry 6:
Simulated powder XRD pattern
Compound: PaNi4H6
Radiation: Cu Ka
Structure: a cell relaxed with GGA-PBE
Neutral-atom scattering factors, no anomalous dispersion.

Atomic structure:
```
PaNi4H6
1.0
-2.448 2.448 3.961
2.448 -2.448 3.961
2.448 2.448 -3.961
Pa Ni H
1 4 6
Direct
0.000 0.000 0.000
0.202 0.202 0.662
0.460 0.798 0.000
0.540 0.540 0.338
0.798 0.460 0.000
0.000 0.500 0.500
0.110 0.445 0.000
0.445 0.110 0.000
0.500 0.000 0.500
0.555 0.555 0.665
0.890 0.890 0.335
```

Largest 10 diffraction maxima, low angle first, 2θ = 15–90°:
- d 4.165, 2θ = 21.33°, I = 58
- d 3.961, 2θ = 22.44°, I = 32
- d 3.463, 2θ = 25.73°, I = 85
- d 2.607, 2θ = 34.40°, I = 86
- d 2.324, 2θ = 38.74°, I = 75
- d 2.111, 2θ = 42.84°, I = 100
- d 2.083, 2θ = 43.45°, I = 29
- d 1.686, 2θ = 54.43°, I = 26
- d 1.599, 2θ = 57.66°, I = 36
- d 1.540, 2θ = 60.08°, I = 26